# 1
# PuB2C
Theoretical powder diffraction line list, Cu Kα. Input: a crystal structure in the Materials Project, relaxed with PBE.
Peak positions follow from Bragg's law for the DFT cell and can differ from measured ones.

Crystal structure
a b c (Å): 5.069 5.069 5.069
angles (deg): 79.48 79.48 79.48
Atoms (fractional coordinates):
Pu: 0.000 0.000 0.000
Pu: 0.307 0.307 0.307
Pu: 0.693 0.693 0.693
B: 0.231 0.500 0.769
B: 0.231 0.769 0.500
B: 0.500 0.231 0.769
B: 0.500 0.769 0.231
B: 0.769 0.231 0.500
B: 0.769 0.500 0.231
C: 0.000 0.000 0.500
C: 0.000 0.500 0.000
C: 0.500 0.000 0.000

Main lines, by angle (2θ from 10° to 80°):
2θ = 26.1°, rel. 26
2θ = 27.5°, rel. 100
2θ = 38.3°, rel. 87
2θ = 48.7°, rel. 25
2θ = 56.0°, rel. 26
2θ = 63.5°, rel. 18

# 2
# SmB2Rh2C
Theoretical powder diffraction line list, Cu Kα. Input: a crystal structure in the Materials Project, relaxed with PBE.
Peak positions follow from Bragg's law for the DFT cell and can differ from measured ones.

Crystal structure
a b c (Å): 5.814 5.814 5.814
angles (deg): 141.30 141.30 55.88
Atoms (fractional coordinates):
Sm: 0.000 0.000 0.000
B: 0.354 0.354 0.000
B: 0.646 0.646 0.000
Rh: 0.250 0.750 0.500
Rh: 0.750 0.250 0.500
C: 0.500 0.500 0.000

Main lines, by angle (2θ from 10° to 80°):
2θ = 24.7°, rel. 35
2θ = 34.9°, rel. 29
2θ = 37.4°, rel. 100
2θ = 47.2°, rel. 28
2θ = 60.1°, rel. 32
2θ = 64.3°, rel. 21